Starting from a GGA+U-relaxed structure, the powder X-ray diffraction pattern of CoPO4F was computed for a wavelength of 1.5418 Å.

Cell and atoms:
a b c (Å): 5.057 5.228 7.116
angles (deg): 108.34 106.49 98.44
Space group P-1 (No. 2)
Asymmetric unit:
Co 0.000 0.000 0.000
Co 0.500 0.500 0.500
P 0.061 0.401 0.738
O 0.136 0.198 0.852
O 0.175 0.706 0.894
O 0.197 0.337 0.564
O 0.271 0.690 0.374
F 0.373 0.194 0.249

Most intense lines, 10 to 90 degrees two-theta, sorted by position:
- 2θ = 18.5°, intensity 100, (0 1 -1)
- 2θ = 19.0°, intensity 34, (1 0 0)
- 2θ = 19.2°, intensity 69, (1 0 -1)
- 2θ = 27.3°, intensity 95, (0 1 1)
- 2θ = 27.4°, intensity 56, (1 0 1)
- 2θ = 30.3°, intensity 71, (1 1 -2)